Starting from a structure optimized by DFT (GGA-PBE), the powder XRD pattern of Cd2MoCl8 was calculated for copper Kα.
Neutral-atom scattering factors, no anomalous dispersion.

```
data_Cd2MoCl8
_space_group_name_H-M_alt 'I -4 2 m'
_space_group_IT_number 121
_space_group_name_Hall 'I -4 2'
_cell_length_a 6.020
_cell_length_b 6.020
_cell_length_c 17.328
_cell_angle_alpha 90.00
_cell_angle_beta 90.00
_cell_angle_gamma 90.00
loop_
_atom_site_label
_atom_site_fract_x
_atom_site_fract_y
_atom_site_fract_z
Cd1 0.000 0.000 0.240
Mo1 0.000 0.000 0.000
Cl1 0.226 0.226 0.067
Cl2 0.238 0.238 0.326
```

Main lines, sorted by position (2θ from 10° to 90°):
two_theta	I_rel
15.6	42
20.5	22
20.9	72
29.4	100
36.3	46
42.5	48
52.0	30
52.5	34